The following is a computed powder diffraction line list of SrNiO2. It was derived from a DFT-relaxed cell (GGA+U, Alexandria), using λ = 1.5418 Å (Cu Kα).
Neutral-atom scattering factors, no anomalous dispersion.

Top 10 peaks for 2θ = 10–90°, low angle first:
2θ/deg  Rel. int.
29.38  68
31.96  60
34.40  100
44.00  27
45.90  21
47.58  26
49.95  23
52.08  29
56.91  22
60.53  21

Atomic structure:
a b c (Å): 3.6520 3.8224 8.4301
angles (deg): 90.00 102.50 90.00
Space group Pm (No. 6)
Asymmetric unit:
Sr 0.0000 0.0000 0.0000
Sr 0.3412 0.5000 0.6747
Ni 0.6106 0.5000 0.2141
Ni 0.7287 0.0000 0.4633
O 0.4838 0.5000 0.9769
O 0.6151 0.0000 0.2300
O 0.7514 0.5000 0.4471
O 0.8422 0.0000 0.6949